Starting from DFT lattice parameters and positions (GGA-PBE), the X-ray powder pattern of CeSm3Ru3 was calculated for Cu Kα X-rays.
Lines closer than 0.1° are merged.

Crystal structure
a = 5.8986 Å, b = 5.8986 Å, c = 5.8986 Å
α = 108.80°, β = 108.80°, γ = 108.80°
Positions (direct):
Ce (0.0000, 0.0000, 0.0000)
Sm (0.1912, 0.5984, 0.5984)
Sm (0.5984, 0.1912, 0.5984)
Sm (0.5984, 0.5984, 0.1912)
Ru (0.0992, 0.0992, 0.6310)
Ru (0.0992, 0.6310, 0.0992)
Ru (0.6310, 0.0992, 0.0992)

Largest 12 diffraction maxima, low angle first, 5° ≤ 2θ ≤ 70°:
d 3.432, I = 16.5; d 2.859, I = 42.2; d 2.791, I = 41.9; d 2.769, I = 48.3; d 2.456, I = 100.0; d 2.398, I = 91.7; d 2.186, I = 18.8; d 1.813, I = 12.7; d 1.716, I = 17.3; d 1.637, I = 12.6; d 1.616, I = 43.1; d 1.395, I = 12.8



Starting from DFT lattice parameters and positions (GGA-PBE), the X-ray powder pattern of Ce7Sn3Ru2 was calculated for Cu Kα X-rays.
Lines closer than 0.1° are merged.

Crystal structure
a = 13.1636 Å, b = 13.1636 Å, c = 5.1024 Å
α = 90.00°, β = 90.00°, γ = 157.14°
Positions (direct):
Ce (0.0000, 0.0000, 0.0000)
Ce (0.0958, 0.9042, 0.5000)
Ce (0.2204, 0.7796, 0.0000)
Ce (0.3904, 0.6096, 0.0000)
Ce (0.6096, 0.3904, 0.0000)
Ce (0.7796, 0.2204, 0.0000)
Ce (0.9042, 0.0958, 0.5000)
Sn (0.3097, 0.6903, 0.5000)
Sn (0.5000, 0.5000, 0.5000)
Sn (0.6903, 0.3097, 0.5000)
Ru (0.1076, 0.8924, 0.0000)
Ru (0.8924, 0.1076, 0.0000)

Largest 12 diffraction maxima, low angle first, 5° ≤ 2θ ≤ 70°:
d 5.107, I = 10.5; d 2.979, I = 100.0; d 2.726, I = 12.1; d 2.609, I = 37.4; d 2.580, I = 22.7; d 2.551, I = 35.1; d 1.835, I = 16.5; d 1.824, I = 25.9; d 1.814, I = 15.9; d 1.568, I = 15.1; d 1.543, I = 14.3; d 1.489, I = 16.7



Starting from DFT lattice parameters and positions (GGA-PBE), the X-ray powder pattern of Ce4SnRu2 was calculated for Cu Kα X-rays.
Lines closer than 0.1° are merged.

Crystal structure
a = 6.3581 Å, b = 6.3581 Å, c = 13.4277 Å
α = 90.00°, β = 90.00°, γ = 137.97°
Positions (direct):
Ce (0.0000, 0.0000, 0.0000)
Ce (0.0000, 0.0000, 0.5000)
Ce (0.2759, 0.7240, 0.6116)
Ce (0.2759, 0.7240, 0.8884)
Ce (0.4114, 0.5886, 0.2500)
Ce (0.5886, 0.4114, 0.7500)
Ce (0.7240, 0.2759, 0.1116)
Ce (0.7240, 0.2759, 0.3884)
Sn (0.1081, 0.8919, 0.2500)
Sn (0.8919, 0.1081, 0.7500)
Ru (0.3934, 0.6066, 0.0574)
Ru (0.3934, 0.6066, 0.4426)
Ru (0.6066, 0.3934, 0.5574)
Ru (0.6066, 0.3934, 0.9426)

Largest 12 diffraction maxima, low angle first, 5° ≤ 2θ ≤ 70°:
d 3.085, I = 25.4; d 2.989, I = 15.9; d 2.919, I = 100.0; d 2.730, I = 17.7; d 2.280, I = 29.0; d 2.271, I = 20.3; d 1.998, I = 11.6; d 1.980, I = 10.4; d 1.798, I = 16.6; d 1.785, I = 13.3; d 1.590, I = 10.2; d 1.418, I = 7.8



Starting from DFT lattice parameters and positions (GGA-PBE), the X-ray powder pattern of Ce4SnRu2 was calculated for Cu Kα X-rays.
Lines closer than 0.1° are merged.

Crystal structure
a = 6.0884 Å, b = 7.2486 Å, c = 8.6611 Å
α = 107.86°, β = 107.86°, γ = 95.06°
Positions (direct):
Ce (0.0000, 0.0000, 0.0000)
Ce (0.0075, 0.4260, 0.0442)
Ce (0.2658, 0.4450, 0.4370)
Ce (0.2834, 0.9403, 0.3260)
Ce (0.3626, 0.2968, 0.7757)
Ce (0.4055, 0.8797, 0.7670)
Ce (0.6385, 0.7567, 0.2068)
Ce (0.8175, 0.5317, 0.5907)
Sn (0.5599, 0.2450, 0.1603)
Sn (0.7929, 0.0812, 0.6382)
Ru (0.0469, 0.8140, 0.4926)
Ru (0.2110, 0.6472, 0.9074)
Ru (0.7075, 0.6430, 0.8942)
Ru (0.9562, 0.1679, 0.3857)

Largest 12 diffraction maxima, low angle first, 5° ≤ 2θ ≤ 70°:
d 3.032, I = 42.7; d 2.879, I = 40.7; d 2.824, I = 100.0; d 2.770, I = 91.1; d 2.747, I = 31.8; d 2.732, I = 51.0; d 2.676, I = 46.1; d 2.645, I = 35.4; d 2.402, I = 31.5; d 2.348, I = 28.6; d 2.284, I = 60.8; d 2.098, I = 29.3



Starting from DFT lattice parameters and positions (GGA-PBE), the X-ray powder pattern of Ce4SnRu4 was calculated for Cu Kα X-rays.
Lines closer than 0.1° are merged.

Crystal structure
a = 6.7819 Å, b = 6.7819 Å, c = 6.7819 Å
α = 98.79°, β = 98.79°, γ = 133.97°
Positions (direct):
Ce (0.0873, 0.3014, 0.3887)
Ce (0.3014, 0.9127, 0.2142)
Ce (0.6986, 0.0873, 0.7858)
Ce (0.9127, 0.6986, 0.6113)
Sn (0.5000, 0.5000, 0.0000)
Ru (0.2179, 0.6039, 0.8219)
Ru (0.3961, 0.2179, 0.6140)
Ru (0.6039, 0.7821, 0.3860)
Ru (0.7821, 0.3961, 0.1781)

Largest 12 diffraction maxima, low angle first, 5° ≤ 2θ ≤ 70°:
d 6.242, I = 5.8; d 4.546, I = 5.3; d 3.167, I = 19.5; d 3.121, I = 3.8; d 2.792, I = 100.0; d 2.651, I = 43.6; d 2.223, I = 4.3; d 1.974, I = 34.0; d 1.923, I = 67.3; d 1.675, I = 6.1; d 1.583, I = 33.4; d 1.396, I = 10.0



Starting from DFT lattice parameters and positions (GGA-PBE), the X-ray powder pattern of Ce3Sn6Ru was calculated for Cu Kα X-rays.
Lines closer than 0.1° are merged.

Crystal structure
a = 8.7857 Å, b = 8.7857 Å, c = 13.3472 Å
α = 90.00°, β = 90.00°, γ = 149.44°
Positions (direct):
Ce (0.1023, 0.8977, 0.7500)
Ce (0.1039, 0.8961, 0.0977)
Ce (0.1039, 0.8961, 0.4023)
Ce (0.8961, 0.1039, 0.5977)
Ce (0.8961, 0.1039, 0.9023)
Ce (0.8977, 0.1023, 0.2500)
Sn (0.2409, 0.7591, 0.5696)
Sn (0.2409, 0.7591, 0.9304)
Sn (0.2690, 0.7310, 0.2500)
Sn (0.4283, 0.5717, 0.0743)
Sn (0.4283, 0.5717, 0.4257)
Sn (0.4622, 0.5378, 0.7500)
Sn (0.5378, 0.4622, 0.2500)
Sn (0.5717, 0.4283, 0.5743)
Sn (0.5717, 0.4283, 0.9257)
Sn (0.7310, 0.2690, 0.7500)
Sn (0.7591, 0.2409, 0.0696)
Sn (0.7591, 0.2409, 0.4304)
Ru (0.3065, 0.6935, 0.7500)
Ru (0.6935, 0.3065, 0.2500)

Largest 12 diffraction maxima, low angle first, 5° ≤ 2θ ≤ 70°:
d 2.825, I = 15.8; d 2.790, I = 100.0; d 2.735, I = 8.1; d 2.531, I = 12.3; d 2.385, I = 11.5; d 2.316, I = 23.9; d 2.225, I = 18.5; d 1.791, I = 8.6; d 1.661, I = 10.0; d 1.604, I = 13.5; d 1.412, I = 13.1; d 1.370, I = 8.3



Starting from DFT lattice parameters and positions (GGA-PBE), the X-ray powder pattern of CeTaRu was calculated for Cu Kα X-rays.
Lines closer than 0.1° are merged.

Crystal structure
a = 4.1805 Å, b = 4.8798 Å, c = 6.6353 Å
α = 90.00°, β = 90.00°, γ = 90.00°
Positions (direct):
Ce (0.2500, 0.2500, 0.0433)
Ce (0.7500, 0.7500, 0.9567)
Ta (0.2500, 0.2500, 0.5327)
Ta (0.7500, 0.7500, 0.4673)
Ru (0.2500, 0.7500, 0.6939)
Ru (0.7500, 0.2500, 0.3061)

Largest 12 diffraction maxima, low angle first, 5° ≤ 2θ ≤ 70°:
d 6.635, I = 14.6; d 3.931, I = 15.6; d 3.318, I = 21.1; d 3.175, I = 41.6; d 2.599, I = 23.6; d 2.440, I = 39.6; d 2.294, I = 100.0; d 2.090, I = 25.2; d 1.779, I = 15.2; d 1.587, I = 21.1; d 1.571, I = 14.5; d 1.379, I = 19.4



Starting from DFT lattice parameters and positions (GGA-PBE), the X-ray powder pattern of Tb5CeRu4 was calculated for Cu Kα X-rays.
Lines closer than 0.1° are merged.

Crystal structure
a = 4.8791 Å, b = 6.7737 Å, c = 7.6371 Å
α = 84.03°, β = 71.39°, γ = 89.47°
Positions (direct):
Tb (0.0000, 0.0000, 0.0000)
Tb (0.3304, 0.4792, 0.3392)
Tb (0.3343, 0.9782, 0.3322)
Tb (0.6657, 0.0218, 0.6678)
Tb (0.6696, 0.5208, 0.6608)
Ce (0.0000, 0.5000, 0.0000)
Ru (0.1516, 0.7487, 0.6954)
Ru (0.4983, 0.2585, 0.0000)
Ru (0.5017, 0.7415, 0.0000)
Ru (0.8484, 0.2513, 0.3046)

Largest 12 diffraction maxima, low angle first, 5° ≤ 2θ ≤ 70°:
d 3.421, I = 71.0; d 3.367, I = 30.5; d 2.505, I = 100.0; d 2.488, I = 98.0; d 2.439, I = 96.5; d 2.399, I = 95.1; d 2.321, I = 79.3; d 2.306, I = 78.8; d 1.710, I = 62.5; d 1.684, I = 27.1; d 1.415, I = 17.1; d 1.388, I = 17.5



Starting from DFT lattice parameters and positions (GGA-PBE), the X-ray powder pattern of TbCe3Ru3 was calculated for Cu Kα X-rays.
Lines closer than 0.1° are merged.

Crystal structure
a = 6.8605 Å, b = 6.8605 Å, c = 7.3240 Å
α = 90.11°, β = 90.11°, γ = 105.08°
Positions (direct):
Tb (0.2305, 0.2305, 0.3682)
Tb (0.7695, 0.7695, 0.6318)
Ce (0.1834, 0.8166, 0.0000)
Ce (0.2561, 0.7439, 0.5000)
Ce (0.3710, 0.3710, 0.8591)
Ce (0.6290, 0.6290, 0.1409)
Ce (0.7439, 0.2561, 0.5000)
Ce (0.8166, 0.1834, 0.0000)
Ru (0.0651, 0.5540, 0.2376)
Ru (0.1050, 0.1050, 0.7267)
Ru (0.4460, 0.9349, 0.7624)
Ru (0.5540, 0.0651, 0.2376)
Ru (0.8950, 0.8950, 0.2733)
Ru (0.9349, 0.4460, 0.7624)

Largest 12 diffraction maxima, low angle first, 5° ≤ 2θ ≤ 70°:
d 3.312, I = 29.0; d 3.205, I = 64.4; d 3.033, I = 71.3; d 3.021, I = 54.3; d 2.757, I = 53.4; d 2.723, I = 100.0; d 2.527, I = 64.9; d 2.463, I = 68.9; d 2.453, I = 82.2; d 1.884, I = 29.8; d 1.736, I = 38.6; d 1.669, I = 26.8



Starting from DFT lattice parameters and positions (GGA-PBE), the X-ray powder pattern of TbCe2U2Ru5 was calculated for Cu Kα X-rays.
Lines closer than 0.1° are merged.

Crystal structure
a = 10.5122 Å, b = 10.5122 Å, c = 3.6891 Å
α = 90.00°, β = 90.00°, γ = 90.00°
Positions (direct):
Tb (0.0000, 0.0000, 0.0000)
Tb (0.5000, 0.5000, 0.0000)
Ce (0.1787, 0.3213, 0.0000)
Ce (0.3213, 0.8213, 0.0000)
Ce (0.6787, 0.1787, 0.0000)
Ce (0.8213, 0.6787, 0.0000)
U (0.1378, 0.6378, 0.0000)
U (0.3622, 0.1378, 0.0000)
U (0.6378, 0.8622, 0.0000)
U (0.8622, 0.3622, 0.0000)
Ru (0.0000, 0.5000, 0.5000)
Ru (0.0552, 0.7898, 0.5000)
Ru (0.2102, 0.0552, 0.5000)
Ru (0.2898, 0.5552, 0.5000)
Ru (0.4448, 0.2898, 0.5000)
Ru (0.5000, 0.0000, 0.5000)
Ru (0.5552, 0.7102, 0.5000)
Ru (0.7102, 0.4448, 0.5000)
Ru (0.7898, 0.9448, 0.5000)
Ru (0.9448, 0.2102, 0.5000)

Largest 12 diffraction maxima, low angle first, 5° ≤ 2θ ≤ 70°:
d 4.701, I = 26.2; d 3.324, I = 20.0; d 2.618, I = 22.3; d 2.550, I = 15.4; d 2.478, I = 21.9; d 2.470, I = 100.0; d 2.351, I = 14.1; d 2.287, I = 31.7; d 2.140, I = 21.0; d 1.858, I = 10.4; d 1.845, I = 19.1; d 1.566, I = 18.0



Starting from DFT lattice parameters and positions (GGA-PBE), the X-ray powder pattern of Ce5Tc2Ru2 was calculated for Cu Kα X-rays.
Lines closer than 0.1° are merged.

Crystal structure
a = 9.8727 Å, b = 9.8727 Å, c = 9.8727 Å
α = 59.31°, β = 140.52°, γ = 137.62°
Positions (direct):
Ce (0.1243, 0.0001, 0.6242)
Ce (0.1771, 0.0715, 0.2486)
Ce (0.1771, 0.4285, 0.6056)
Ce (0.3760, 0.5001, 0.3758)
Ce (0.4281, 0.7594, 0.9694)
Ce (0.4281, 0.9587, 0.1687)
Ce (0.7900, 0.2594, 0.8313)
Ce (0.7900, 0.4587, 0.0306)
Ce (0.8229, 0.5715, 0.3944)
Ce (0.8229, 0.9285, 0.7514)
Tc (0.2335, 0.3948, 0.9856)
Tc (0.2335, 0.7479, 0.3387)
Tc (0.4092, 0.2479, 0.0144)
Tc (0.4092, 0.8948, 0.6613)
Ru (0.7196, 0.2196, 0.5000)
Ru (0.7196, 0.7196, 0.0000)
Ru (0.9028, 0.6701, 0.7327)
Ru (0.9374, 0.1701, 0.2673)

Largest 12 diffraction maxima, low angle first, 5° ≤ 2θ ≤ 70°:
d 3.052, I = 99.5; d 2.975, I = 87.3; d 2.757, I = 98.7; d 2.671, I = 100.0; d 2.467, I = 85.3; d 2.437, I = 41.5; d 2.344, I = 40.4; d 2.319, I = 52.6; d 2.241, I = 42.3; d 2.232, I = 46.1; d 2.168, I = 44.5; d 1.715, I = 38.8



Starting from DFT lattice parameters and positions (GGA-PBE), the X-ray powder pattern of Ce2TcRu3 was calculated for Cu Kα X-rays.
Lines closer than 0.1° are merged.

Crystal structure
a = 5.6090 Å, b = 5.6090 Å, c = 8.0215 Å
α = 90.00°, β = 90.00°, γ = 120.00°
Positions (direct):
Ce (0.3333, 0.6667, 0.0676)
Ce (0.3333, 0.6667, 0.4324)
Ce (0.6667, 0.3333, 0.5676)
Ce (0.6667, 0.3333, 0.9324)
Tc (0.0000, 0.0000, 0.0000)
Tc (0.0000, 0.0000, 0.5000)
Ru (0.1684, 0.3369, 0.7500)
Ru (0.1684, 0.8316, 0.7500)
Ru (0.3369, 0.1684, 0.2500)
Ru (0.6631, 0.8316, 0.7500)
Ru (0.8316, 0.1684, 0.2500)
Ru (0.8316, 0.6631, 0.2500)

Largest 12 diffraction maxima, low angle first, 5° ≤ 2θ ≤ 70°:
d 2.804, I = 44.5; d 2.429, I = 14.6; d 2.342, I = 73.1; d 2.325, I = 92.8; d 2.298, I = 100.0; d 2.078, I = 13.0; d 2.005, I = 10.3; d 1.854, I = 9.4; d 1.619, I = 8.5; d 1.514, I = 35.4; d 1.501, I = 25.8; d 1.402, I = 32.1